Record 1
For Pm5Nd2Y12, a structure optimized by DFT (GGA-PBE) gives the simulated X-ray diffraction stick pattern in this record (Cu Kα, 1.54184 Å).
Peak positions follow from Bragg's law for the DFT cell and can differ from measured ones.

Principal peaks in the range 10 to 90 degrees two-theta, in order of falling intensity:
2θ (°)  I/Imax
30.4  100
35.2  67
30.5  33
50.6  31
60.3  28
50.8  16
60.2  14
60.3  14
63.2  8
74.5  7

```
Pm5Nd2Y12
1.0
6.2512 0.0000 0.0000
1.0327 9.4703 0.0000
0.0185 4.1241 10.6046
Pm Nd Y
5 2 12
Direct
0.0000 0.0000 0.0000
0.2102 0.7367 0.5790
0.4733 0.1571 0.0524
0.5267 0.8429 0.9476
0.7898 0.2633 0.4210
0.2632 0.4210 0.4731
0.7368 0.5790 0.5269
0.0531 0.6845 0.8950
0.1058 0.3688 0.7905
0.1583 0.0516 0.6840
0.3159 0.1055 0.3683
0.3680 0.7899 0.2623
0.4212 0.4727 0.1566
0.5788 0.5273 0.8434
0.6320 0.2101 0.7377
0.6841 0.8945 0.6317
0.8417 0.9484 0.3160
0.8942 0.6312 0.2095
0.9469 0.3155 0.1050
```

Record 2
For Pm2Nd2Y5, a structure optimized by DFT (GGA-PBE) gives the simulated X-ray diffraction stick pattern in this record (Cu Kα, 1.54184 Å).
Peak positions follow from Bragg's law for the DFT cell and can differ from measured ones.

Principal peaks in the range 10 to 90 degrees two-theta, in order of falling intensity:
2θ (°)  I/Imax
31.1  100
32.4  53
31.3  45
32.2  42
29.2  26
47.8  20
60.4  17
12.2  14
26.7  14
60.6  13

```
Pm2Nd2Y5
1.0
8.8030 0.0000 0.0000
0.0000 3.6187 0.0000
-2.2011 0.0000 9.5064
Pm Nd Y
2 2 5
Direct
0.1609 0.0000 0.1117
0.8391 0.0000 0.8883
0.4745 0.5000 0.3179
0.5255 0.5000 0.6821
0.1487 0.5000 0.7817
0.1851 0.0000 0.4686
0.5000 0.0000 0.0000
0.8149 0.0000 0.5314
0.8513 0.5000 0.2183
```

Record 3
For Pm2Nd2Y15, a structure optimized by DFT (GGA-PBE) gives the simulated X-ray diffraction stick pattern in this record (Cu Kα, 1.54184 Å).
Peak positions follow from Bragg's law for the DFT cell and can differ from measured ones.

Principal peaks in the range 10 to 90 degrees two-theta, in order of falling intensity:
2θ (°)  I/Imax
31.3  100
31.6  86
31.1  70
35.1  68
27.3  59
27.1  54
56.2  42
30.3  39
54.4  35
55.9  35

```
Pm2Nd2Y15
1.0
5.6655 3.2710 5.9071
-5.6655 3.2710 5.9071
0.0000 -6.5419 5.9071
Pm Nd Y
2 2 15
Direct
0.1714 0.1714 0.1714
0.8286 0.8286 0.8286
0.3852 0.3852 0.3852
0.6148 0.6148 0.6148
0.0000 0.5000 0.5000
0.1312 0.1312 0.6524
0.1312 0.6524 0.1312
0.1988 0.5000 0.8012
0.1988 0.8012 0.5000
0.3476 0.8688 0.8688
0.5000 0.0000 0.5000
0.5000 0.1988 0.8012
0.5000 0.5000 0.0000
0.5000 0.8012 0.1988
0.6524 0.1312 0.1312
0.8012 0.1988 0.5000
0.8012 0.5000 0.1988
0.8688 0.3476 0.8688
0.8688 0.8688 0.3476
```

Record 4
For Pm3Nd4Y8, a structure optimized by DFT (GGA-PBE) gives the simulated X-ray diffraction stick pattern in this record (Cu Kα, 1.54184 Å).
Peak positions follow from Bragg's law for the DFT cell and can differ from measured ones.

Principal peaks in the range 10 to 90 degrees two-theta, in order of falling intensity:
2θ (°)  I/Imax
30.9  100
35.6  74
30.0  65
61.1  50
29.4  49
51.9  42
26.4  32
50.6  22
34.0  21
34.2  19

```
Pm3Nd4Y8
1.0
3.5258 2.0356 11.9231
-3.5258 2.0356 11.9231
0.0000 -4.0712 11.9231
Pm Nd Y
3 4 8
Direct
0.0000 0.5000 0.5000
0.5000 0.0000 0.5000
0.5000 0.5000 0.0000
0.0000 0.0000 0.0000
0.1639 0.1639 0.1639
0.5000 0.5000 0.5000
0.8361 0.8361 0.8361
0.2504 0.2504 0.7493
0.2504 0.7493 0.2504
0.2507 0.7496 0.7496
0.2544 0.2544 0.2544
0.7456 0.7456 0.7456
0.7493 0.2504 0.2504
0.7496 0.2507 0.7496
0.7496 0.7496 0.2507
```

Record 5
For Pm11Nd4Y9, a structure optimized by DFT (GGA-PBE) gives the simulated X-ray diffraction stick pattern in this record (Cu Kα, 1.54184 Å).
Peak positions follow from Bragg's law for the DFT cell and can differ from measured ones.

Principal peaks in the range 10 to 90 degrees two-theta, in order of falling intensity:
2θ (°)  I/Imax
31.8  100
29.6  60
30.5  15
58.1  13
48.8  12
33.6  11
42.4  8
54.0  7
29.8  7
31.5  6

```
Pm11Nd4Y9
1.0
8.5295 -12.8124 0.0000
8.5295 12.8124 0.0000
0.0000 0.0000 3.7334
Pm Nd Y
11 4 9
Direct
0.0000 0.0000 0.0000
0.0464 0.4088 0.0000
0.1584 0.8416 0.0000
0.2911 0.2911 0.0000
0.3659 0.6341 0.0000
0.4088 0.0464 0.0000
0.5912 0.9536 0.0000
0.6341 0.3659 0.0000
0.7089 0.7089 0.0000
0.8416 0.1584 0.0000
0.9536 0.5912 0.0000
0.2448 0.4463 0.5000
0.4463 0.2448 0.5000
0.5537 0.7552 0.5000
0.7552 0.5537 0.5000
0.0661 0.2123 0.5000
0.1623 0.6350 0.5000
0.2123 0.0661 0.5000
0.3650 0.8377 0.5000
0.5000 0.5000 0.5000
0.6350 0.1623 0.5000
0.7877 0.9339 0.5000
0.8377 0.3650 0.5000
0.9339 0.7877 0.5000
```

Record 6
For Pm3NdY6, a structure optimized by DFT (GGA-PBE) gives the simulated X-ray diffraction stick pattern in this record (Cu Kα, 1.54184 Å).
Peak positions follow from Bragg's law for the DFT cell and can differ from measured ones.

Principal peaks in the range 10 to 90 degrees two-theta, in order of falling intensity:
2θ (°)  I/Imax
28.4  100
31.5  93
31.4  65
33.7  52
33.9  48
32.3  35
29.4  27
49.6  25
16.7  22
49.8  20

```
Pm3NdY6
1.0
5.5136 -9.4973 0.0000
5.5136 9.4973 0.0000
0.0000 0.0000 6.4176
Pm Nd Y
6 2 12
Direct
0.1122 0.8878 0.5000
0.2083 0.4351 0.8902
0.4351 0.2083 0.3902
0.5649 0.7917 0.8902
0.7917 0.5649 0.3902
0.8878 0.1122 0.0000
0.3051 0.6949 0.5724
0.6949 0.3051 0.0724
0.0302 0.4464 0.3028
0.1221 0.2106 0.4778
0.2106 0.1221 0.9778
0.2301 0.7699 0.0903
0.4464 0.0302 0.8028
0.4592 0.5408 0.2988
0.5408 0.4592 0.7988
0.5536 0.9698 0.3028
0.7699 0.2301 0.5903
0.7894 0.8779 0.4778
0.8779 0.7894 0.9778
0.9698 0.5536 0.8028
```